Starting from a cell relaxed with PBE+U, the X-ray powder pattern of AcV2TcO8 was calculated for Cu Kα, 1.54184 Å.
Lines closer than 0.1° are merged.

Principal peaks in the range 5 to 70 degrees two-theta, sorted by position:
| hkl | Position (°2θ) | Rel. int. |
| --- | --- | --- |
| 1 1 0 | 18.36 | 100 |
| 2 0 0 | 20.28 | 59 |
| 1 1 1 | 22.21 | 46 |
| 2 0 -1 | 23.46 | 22 |
| 1 1 -2 | 30.55 | 73 |
| 0 2 0 | 30.91 | 93 |
| 3 1 0 | 34.40 | 57 |
| 0 2 2 | 39.76 | 24 |
| 2 2 2 | 45.31 | 19 |
| 1 3 -2 | 54.73 | 26 |

Structure:
Cell lengths 8.760, 5.792, 7.287 Å; angles 90.00, 91.31, 90.00 degrees
Space group C2/m (No. 12)
Inequivalent atoms, fractional coordinates:
Ac1 0.000 0.000 0.000 x2
V1 0.136 0.500 0.280 x4
Tc1 0.000 0.000 0.500 x2
O1 0.024 0.238 0.295 x8
O2 0.211 0.500 0.064 x4
O3 0.223 0.000 0.554 x4